Calculated XRD peak list of Ni3B7IO13 for CuKα, from a crystal structure in Alexandria, relaxed with PBE+U.
Intensities are scaled so that the largest is 100.

```
data_Ni3B7IO13
_symmetry_space_group_name_H-M 'F -4 3 c'
_symmetry_Int_Tables_number 219
_symmetry_space_group_name_Hall 'F -4a 2 3'
_cell_length_a 12.158
_cell_length_b 12.158
_cell_length_c 12.158
_cell_angle_alpha 90.00
_cell_angle_beta 90.00
_cell_angle_gamma 90.00
loop_
_atom_site_label
_atom_site_type_symbol
_atom_site_fract_x
_atom_site_fract_y
_atom_site_fract_z
_atom_site_occupancy
Ni1 Ni 0.000 0.000 0.250 1
B1 B 0.000 0.250 0.250 1
B2 B 0.170 0.170 0.170 1
I1 I 0.000 0.000 0.000 1
O1 O 0.070 0.152 0.231 1
O2 O 0.250 0.250 0.250 1
```

Largest 6 diffraction maxima, by intensity, 10 to 90 degrees two-theta:
Position (°2θ)	intensity	index
29.4	100	4 0 0
32.9	97	4 2 0
42.0	64	4 4 0
14.6	36	2 0 0
69.1	32	8 4 0
52.1	30	4 4 4